The following is a theoretical powder XRD pattern of LiAcSiS4. It was derived from a structure optimized by DFT (PBE), using Cu Kα, 1.54184 Å.
Intensities are scaled so that the largest is 100.

Most intense lines, 10° ≤ 2θ ≤ 80°, low angle first:
Position (°2θ), I_rel
11.96, 100
19.34, 58
20.21, 94
25.13, 57
26.85, 33
29.49, 28
30.52, 30
34.55, 30
36.36, 28
38.21, 27
39.26, 29
46.40, 26

Cell and atoms:
Cell lengths 6.7190, 6.6404, 7.8320 Å; angles 90.00, 109.09, 90.00 degrees
Positions (direct):
Li  0.2354  0.2500  0.4736
Li  0.7646  0.7500  0.5264
Ac  0.2405  0.2500  0.9444
Ac  0.7595  0.7500  0.0556
Si  0.2638  0.7500  0.6816
Si  0.7362  0.2500  0.3184
S  0.0736  0.7500  0.4108
S  0.0773  0.7500  0.8607
S  0.4716  0.0019  0.7438
S  0.4716  0.4981  0.7438
S  0.5284  0.5019  0.2562
S  0.5284  0.9981  0.2562
S  0.9227  0.2500  0.1393
S  0.9264  0.2500  0.5892

---

The following is a theoretical powder XRD pattern of TlGaI4. It was derived from a structure optimized by DFT (PBE), using Cu Kα, 1.54184 Å.
Intensities are scaled so that the largest is 100.

Most intense lines, 10° ≤ 2θ ≤ 80°, low angle first:
Position (°2θ), I_rel
15.19, 64
21.24, 26
24.96, 100
25.23, 54
28.14, 27
28.50, 18
32.89, 17
33.05, 19
36.41, 19
41.90, 18
44.64, 13
47.84, 13

Cell and atoms:
Cell lengths 7.5187, 7.5187, 10.9490 Å; angles 96.28, 96.28, 78.10 degrees
Positions (direct):
Tl  0.0000  0.5000  0.0000
Tl  0.5000  0.0000  0.5000
Ga  0.1499  0.8501  0.7500
Ga  0.8501  0.1499  0.2500
I  0.1800  0.1860  0.7361
I  0.1860  0.1800  0.2361
I  0.2689  0.6567  0.5551
I  0.3433  0.7311  0.9449
I  0.6567  0.2689  0.0551
I  0.7311  0.3433  0.4449
I  0.8140  0.8200  0.7639
I  0.8200  0.8140  0.2639

---

The following is a theoretical powder XRD pattern of KCeH. It was derived from a structure optimized by DFT (PBE), using Cu Kα, 1.54184 Å.
Intensities are scaled so that the largest is 100.

Most intense lines, 10° ≤ 2θ ≤ 80°, low angle first:
Position (°2θ), I_rel
25.20, 46
29.05, 53
29.75, 100
34.85, 28
38.83, 39
43.49, 53
48.69, 12
51.50, 22
58.17, 25
60.61, 13
66.89, 14
69.63, 13

Cell and atoms:
Cell lengths 14.1384, 3.5492, 3.5492 Å; angles 59.99, 90.00, 90.00 degrees
Positions (direct):
K  0.1245  0.0000  0.0000
K  0.8755  0.0000  0.0000
Ce  0.3923  0.6698  0.6698
Ce  0.6077  0.6698  0.6698
H  0.0000  0.6664  0.6664
H  0.5000  0.0033  0.0033

---

The following is a theoretical powder XRD pattern of Na5B7C3. It was derived from a structure optimized by DFT (PBE), using Cu Kα, 1.54184 Å.
Intensities are scaled so that the largest is 100.

Most intense lines, 10° ≤ 2θ ≤ 80°, low angle first:
Position (°2θ), I_rel
34.80, 25
36.42, 33
40.79, 96
41.95, 77
42.19, 100
42.24, 100
56.74, 19
63.45, 33
66.57, 16
76.81, 26
78.91, 16
79.09, 16

Cell and atoms:
Cell lengths 9.1077, 9.1077, 13.4221 Å; angles 112.86, 112.86, 17.74 degrees
Positions (direct):
Na  0.0000  0.0000  0.0000
Na  0.0000  0.0000  0.5000
Na  0.2003  0.2003  0.4008
Na  0.2015  0.2015  0.9003
Na  0.3990  0.3990  0.2993
Na  0.3992  0.3992  0.7988
Na  0.6008  0.6008  0.2012
Na  0.6010  0.6010  0.7007
Na  0.7985  0.7985  0.0997
Na  0.7997  0.7997  0.5992
B  0.0301  0.0301  0.3103
B  0.0344  0.0344  0.8185
B  0.1707  0.1707  0.0901
B  0.2365  0.2365  0.7224
B  0.3577  0.3577  0.4665
B  0.4214  0.4214  0.0941
B  0.4259  0.4259  0.6019
B  0.5741  0.5741  0.3981
B  0.5786  0.5786  0.9059
B  0.6423  0.6423  0.5335
B  0.7635  0.7635  0.2776
B  0.8293  0.8293  0.9099
B  0.9656  0.9656  0.1815
B  0.9699  0.9699  0.6897
C  0.1738  0.1738  0.5958
C  0.2326  0.2326  0.2147
C  0.3612  0.3612  0.9743
C  0.6388  0.6388  0.0257
C  0.7674  0.7674  0.7853
C  0.8262  0.8262  0.4042

---

The following is a theoretical powder XRD pattern of ErBiO3. It was derived from a structure optimized by DFT (PBE), using Cu Kα, 1.54184 Å.
Intensities are scaled so that the largest is 100.

Most intense lines, 10° ≤ 2θ ≤ 80°, low angle first:
Position (°2θ), I_rel
20.75, 21
29.18, 90
29.84, 100
42.22, 39
47.05, 32
51.31, 10
52.56, 40
52.97, 26
61.99, 14
63.96, 12
69.95, 15
79.99, 12

Cell and atoms:
Cell lengths 6.1246, 6.1246, 6.1246 Å; angles 58.53, 58.53, 58.53 degrees
Positions (direct):
Er  0.0000  0.0000  0.0000
Er  0.5000  0.5000  0.5000
Bi  0.2867  0.2867  0.2867
Bi  0.7867  0.7867  0.7867
O  0.1358  0.3532  0.6901
O  0.1901  0.8532  0.6358
O  0.3532  0.6901  0.1358
O  0.6358  0.1901  0.8532
O  0.6901  0.1358  0.3532
O  0.8532  0.6358  0.1901

---

The following is a theoretical powder XRD pattern of GaReSb. It was derived from a structure optimized by DFT (PBE), using Cu Kα, 1.54184 Å.
Intensities are scaled so that the largest is 100.

Most intense lines, 10° ≤ 2θ ≤ 80°, low angle first:
Position (°2θ), I_rel
21.96, 90
29.06, 22
31.62, 27
33.75, 36
37.16, 24
38.37, 24
38.97, 35
40.03, 43
41.65, 31
42.15, 52
42.38, 100
66.32, 27

Cell and atoms:
Cell lengths 6.6951, 6.6951, 7.2621 Å; angles 90.00, 90.00, 133.25 degrees
Positions (direct):
Ga  0.1957  0.3043  0.2500
Ga  0.3043  0.1957  0.7500
Ga  0.6957  0.8043  0.2500
Ga  0.8043  0.6957  0.7500
Re  0.1024  0.8976  0.4680
Re  0.3976  0.6024  0.9680
Re  0.6024  0.3976  0.0320
Re  0.8976  0.1024  0.5320
Sb  0.1848  0.8152  0.1091
Sb  0.3152  0.6848  0.6091
Sb  0.6848  0.3152  0.3909
Sb  0.8152  0.1848  0.8909

---

The following is a theoretical powder XRD pattern of Ta2VS3. It was derived from a structure optimized by DFT (PBE), using Cu Kα, 1.54184 Å.
Intensities are scaled so that the largest is 100.

Most intense lines, 10° ≤ 2θ ≤ 80°, low angle first:
Position (°2θ), I_rel
15.61, 81
21.90, 47
27.44, 84
29.97, 54
31.34, 66
31.94, 77
33.97, 77
35.74, 100
45.05, 75
49.35, 34
54.08, 45
54.47, 33

Cell and atoms:
Cell lengths 6.5034, 6.5034, 5.9626 Å; angles 90.00, 90.00, 58.42 degrees
Positions (direct):
Ta  0.0457  0.3392  0.0000
Ta  0.3392  0.0457  0.5000
Ta  0.6608  0.9543  0.0000
Ta  0.9543  0.6608  0.5000
V  0.4018  0.5982  0.2953
V  0.5982  0.4018  0.7953
S  0.0652  0.6743  0.1163
S  0.2649  0.7351  0.6465
S  0.3257  0.9348  0.1163
S  0.6743  0.0652  0.6163
S  0.7351  0.2649  0.1465
S  0.9348  0.3257  0.6163

---

The following is a theoretical powder XRD pattern of CdC2N4O4. It was derived from a structure optimized by DFT (PBE), using Cu Kα, 1.54184 Å.
Intensities are scaled so that the largest is 100.

Most intense lines, 10° ≤ 2θ ≤ 80°, low angle first:
Position (°2θ), I_rel
13.17, 46
15.98, 62
17.28, 30
19.09, 19
23.75, 100
26.38, 67
26.54, 76
28.10, 31
29.99, 36
30.82, 48
35.55, 20
38.75, 28

Cell and atoms:
Cell lengths 6.4327, 10.9567, 8.5174 Å; angles 90.00, 90.00, 90.00 degrees
Positions (direct):
Cd  0.0000  0.0000  0.2062
Cd  0.5000  0.5000  0.7938
C  0.1095  0.7843  0.8510
C  0.3905  0.2843  0.1490
C  0.6095  0.7157  0.1490
C  0.8905  0.2157  0.8510
N  0.1291  0.6383  0.4759
N  0.2041  0.6616  0.3619
N  0.2959  0.1616  0.6381
N  0.3709  0.1383  0.5241
N  0.6291  0.8617  0.5241
N  0.7041  0.8384  0.6381
N  0.7959  0.3384  0.3619
N  0.8709  0.3617  0.4759
O  0.0267  0.7147  0.9356
O  0.1923  0.8536  0.7661
O  0.3077  0.3536  0.2339
O  0.4733  0.2147  0.0644
O  0.5267  0.7853  0.0644
O  0.6923  0.6464  0.2339
O  0.8077  0.1464  0.7661
O  0.9733  0.2853  0.9356

---

The following is a theoretical powder XRD pattern of MoRh2Se. It was derived from a structure optimized by DFT (PBE), using Cu Kα, 1.54184 Å.
Intensities are scaled so that the largest is 100.

Most intense lines, 10° ≤ 2θ ≤ 80°, low angle first:
Position (°2θ), I_rel
31.48, 4
33.17, 6
39.46, 100
40.83, 59
46.30, 12
47.30, 22
52.52, 17
63.13, 9
63.29, 12
73.34, 13
73.52, 5
77.96, 17

Cell and atoms:
Cell lengths 2.9454, 3.8437, 5.5990 Å; angles 90.00, 105.24, 90.00 degrees
Positions (direct):
Mo  0.0000  0.0000  0.0000
Rh  0.2620  0.0000  0.5211
Rh  0.6157  0.5000  0.2286
Se  0.8446  0.5000  0.6845

---

The following is a theoretical powder XRD pattern of CsRbNbO4. It was derived from a structure optimized by DFT (PBE), using Cu Kα, 1.54184 Å.
Intensities are scaled so that the largest is 100.

Most intense lines, 10° ≤ 2θ ≤ 80°, low angle first:
Position (°2θ), I_rel
15.76, 57
18.26, 11
25.83, 100
25.94, 39
30.50, 13
37.02, 19
41.54, 11
45.48, 23
45.69, 38
53.10, 12
60.22, 19
72.40, 11

Cell and atoms:
Cell lengths 6.8990, 6.8990, 6.8990 Å; angles 120.29, 120.29, 89.50 degrees
Positions (direct):
Cs  0.0000  0.0000  0.0000
Rb  0.5000  0.5000  0.0000
Nb  0.2500  0.7500  0.5000
O  0.2149  0.6923  0.1850
O  0.3077  0.4927  0.5227
O  0.5073  0.0300  0.8150
O  0.9700  0.7851  0.4773

---

The following is a theoretical powder XRD pattern of Na3In2Pb7. It was derived from a structure optimized by DFT (PBE), using Cu Kα, 1.54184 Å.
Intensities are scaled so that the largest is 100.

Most intense lines, 10° ≤ 2θ ≤ 80°, low angle first:
Position (°2θ), I_rel
16.32, 23
18.12, 31
31.39, 100
31.82, 97
36.66, 100
41.16, 17
52.77, 24
52.89, 23
62.39, 14
62.51, 15
63.06, 14
63.22, 28

Cell and atoms:
Cell lengths 5.9807, 5.9816, 11.0581 Å; angles 100.40, 100.11, 109.91 degrees
Positions (direct):
Na  0.0000  0.0000  0.0000
Na  0.1677  0.1669  0.3362
Na  0.8323  0.8331  0.6638
In  0.3327  0.3329  0.6645
In  0.6673  0.6671  0.3355
Pb  0.0855  0.5847  0.1720
Pb  0.2505  0.7501  0.5000
Pb  0.4139  0.9144  0.8279
Pb  0.5000  0.5000  0.0000
Pb  0.5861  0.0856  0.1721
Pb  0.7495  0.2499  0.5000
Pb  0.9145  0.4153  0.8280

---

The following is a theoretical powder XRD pattern of Li15Pt. It was derived from a structure optimized by DFT (PBE), using Cu Kα, 1.54184 Å.
Intensities are scaled so that the largest is 100.

Most intense lines, 10° ≤ 2θ ≤ 80°, low angle first:
Position (°2θ), I_rel
17.33, 68
18.69, 19
19.70, 100
25.59, 52
30.24, 17
31.71, 30
33.28, 26
35.79, 22
36.36, 21
40.02, 30
47.98, 22
50.97, 17

Cell and atoms:
Cell lengths 5.9102, 5.9102, 9.4958 Å; angles 90.00, 90.00, 120.00 degrees
Positions (direct):
Li  0.0000  0.0000  0.0000
Li  0.0066  0.5033  0.5000
Li  0.3151  0.1575  0.2712
Li  0.3151  0.1575  0.7288
Li  0.3333  0.6667  0.2388
Li  0.3333  0.6667  0.7612
Li  0.4967  0.5033  0.5000
Li  0.4967  0.9934  0.5000
Li  0.5043  0.0085  0.0000
Li  0.5043  0.4957  0.0000
Li  0.8425  0.1575  0.2712
Li  0.8425  0.1575  0.7288
Li  0.8425  0.6849  0.2712
Li  0.8425  0.6849  0.7288
Li  0.9915  0.4957  0.0000
Pt  0.0000  0.0000  0.5000

---

Copy entry 9 word for word.
The following is a theoretical powder XRD pattern of MoRh2Se. It was derived from a structure optimized by DFT (PBE), using Cu Kα, 1.54184 Å.
Intensities are scaled so that the largest is 100.

Most intense lines, 10° ≤ 2θ ≤ 80°, low angle first:
Position (°2θ), I_rel
31.48, 4
33.17, 6
39.46, 100
40.83, 59
46.30, 12
47.30, 22
52.52, 17
63.13, 9
63.29, 12
73.34, 13
73.52, 5
77.96, 17

Cell and atoms:
Cell lengths 2.9454, 3.8437, 5.5990 Å; angles 90.00, 105.24, 90.00 degrees
Positions (direct):
Mo  0.0000  0.0000  0.0000
Rh  0.2620  0.0000  0.5211
Rh  0.6157  0.5000  0.2286
Se  0.8446  0.5000  0.6845

---

Number 12 is which compound? Li15Pt